[1]
Theoretical XRD peak list
Compound: Cs3Hg3Au2
Radiation: Cu Ka
Structure: DFT lattice parameters and positions (GGA-PBE)
Intensities are scaled so that the largest is 1000.

Peak list (8 most intense, 10° ≤ 2θ ≤ 90°, low angle first)
d [Å]  Rel. int.
3.383  673
3.364  508
3.309  556
3.226  374
2.760  719
2.538  1000
2.526  533
1.792  494

Structural model:
Cell: 7.197 7.197 19.358 Å, 90.00 90.00 138.91°
Fractional coordinates of all 16 atoms:
Cs1 0.076 0.924 0.750
Cs2 0.368 0.632 0.589
Cs3 0.368 0.632 0.911
Cs4 0.632 0.368 0.089
Cs5 0.632 0.368 0.411
Cs6 0.924 0.076 0.250
Hg1 0.089 0.911 0.557
Hg2 0.089 0.911 0.943
Hg3 0.212 0.788 0.250
Hg4 0.788 0.212 0.750
Hg5 0.911 0.089 0.057
Hg6 0.911 0.089 0.443
Au1 0.339 0.661 0.123
Au2 0.339 0.661 0.377
Au3 0.661 0.339 0.623
Au4 0.661 0.339 0.877

---

[2]
Theoretical XRD peak list
Compound: Mg4ZnRh
Radiation: Cu Ka
Structure: DFT lattice parameters and positions (GGA-PBE)
Intensities are scaled so that the largest is 1000.

Peak list (8 most intense, 10° ≤ 2θ ≤ 90°, low angle first)
d [Å]  Rel. int.
4.586  1000
3.243  233
2.380  575
2.293  301
2.112  572
2.051  468
1.651  166
1.340  165

Structural model:
Cell: 7.213 7.213 7.213 Å, 126.57 126.57 78.96°
Fractional coordinates of all 12 atoms:
Mg1 0.039 0.539 0.851
Mg2 0.188 0.039 0.500
Mg3 0.312 0.812 0.851
Mg4 0.461 0.312 0.500
Mg5 0.539 0.688 0.500
Mg6 0.688 0.188 0.149
Mg7 0.812 0.961 0.500
Mg8 0.961 0.461 0.149
Zn1 0.000 0.000 0.000
Zn2 0.500 0.500 0.000
Rh1 0.250 0.250 0.000
Rh2 0.750 0.750 0.000

---

[3]
Theoretical XRD peak list
Compound: Tm4Ga6Pd7
Radiation: Cu Ka
Structure: DFT lattice parameters and positions (GGA-PBE)
Intensities are scaled so that the largest is 1000.

Peak list (8 most intense, 10° ≤ 2θ ≤ 90°, low angle first)
d [Å]  Rel. int.
3.003  303
2.452  1000
2.270  199
2.123  631
1.811  135
1.501  339
1.343  107
1.280  277

Structural model:
Cell: 7.355 7.355 7.355 Å, 109.47 109.47 109.47°
Fractional coordinates of all 17 atoms:
Tm1 0.000 0.000 0.500
Tm2 0.000 0.500 0.000
Tm3 0.500 0.000 0.000
Tm4 0.500 0.500 0.500
Ga1 0.000 0.317 0.317
Ga2 0.000 0.683 0.683
Ga3 0.317 0.000 0.317
Ga4 0.317 0.317 0.000
Ga5 0.683 0.000 0.683
Ga6 0.683 0.683 0.000
Pd1 0.000 0.000 0.000
Pd2 0.250 0.500 0.750
Pd3 0.250 0.750 0.500
Pd4 0.500 0.250 0.750
Pd5 0.500 0.750 0.250
Pd6 0.750 0.250 0.500
Pd7 0.750 0.500 0.250

---

[4]
Theoretical XRD peak list
Compound: LiMn3Pd12
Radiation: Cu Ka
Structure: DFT lattice parameters and positions (GGA-PBE)
Intensities are scaled so that the largest is 1000.

Peak list (8 most intense, 10° ≤ 2θ ≤ 90°, low angle first)
d [Å]  Rel. int.
2.261  1000
1.963  324
1.949  158
1.388  101
1.383  199
1.183  237
1.177  116
1.130  104

Structural model:
Cell: 3.926 3.926 15.589 Å, 90.00 90.00 90.00°
Fractional coordinates of all 16 atoms:
Li1 0.000 0.000 0.000
Mn1 0.000 0.000 0.249
Mn2 0.000 0.000 0.500
Mn3 0.000 0.000 0.751
Pd1 0.000 0.500 0.124
Pd2 0.000 0.500 0.374
Pd3 0.000 0.500 0.626
Pd4 0.000 0.500 0.876
Pd5 0.500 0.000 0.124
Pd6 0.500 0.000 0.374
Pd7 0.500 0.000 0.626
Pd8 0.500 0.000 0.876
Pd9 0.500 0.500 0.000
Pd10 0.500 0.500 0.248
Pd11 0.500 0.500 0.500
Pd12 0.500 0.500 0.752

---

[5]
Theoretical XRD peak list
Compound: Ba2Ag
Radiation: Cu Ka
Structure: DFT lattice parameters and positions (GGA-PBE)
Intensities are scaled so that the largest is 1000.

Peak list (8 most intense, 10° ≤ 2θ ≤ 90°, low angle first)
d [Å]  Rel. int.
3.461  1000
3.183  863
3.062  454
2.700  404
2.631  301
2.573  300
1.863  264
1.748  360

Structural model:
Cell: 9.354 9.354 5.146 Å, 90.00 90.00 120.00°
Fractional coordinates of all 9 atoms:
Ba1 0.000 0.260 0.000
Ba2 0.000 0.595 0.500
Ba3 0.260 0.000 0.000
Ba4 0.405 0.405 0.500
Ba5 0.595 0.000 0.500
Ba6 0.740 0.740 0.000
Ag1 0.000 0.000 0.500
Ag2 0.333 0.667 0.000
Ag3 0.667 0.333 0.000

---

[6]
Theoretical XRD peak list
Compound: MgPaIn4Rh2
Radiation: Cu Ka
Structure: DFT lattice parameters and positions (GGA-PBE)
Intensities are scaled so that the largest is 1000.

Peak list (8 most intense, 10° ≤ 2θ ≤ 90°, low angle first)
d [Å]  Rel. int.
3.648  197
3.284  204
2.806  590
2.727  253
2.564  1000
2.276  387
2.053  471
1.263  211

Structural model:
Cell: 4.105 4.105 10.943 Å, 90.00 90.00 90.00°
Fractional coordinates of all 8 atoms:
Mg1 0.000 0.000 0.000
Pa1 0.000 0.000 0.500
In1 0.000 0.500 0.212
In2 0.000 0.500 0.788
In3 0.500 0.000 0.212
In4 0.500 0.000 0.788
Rh1 0.500 0.500 0.385
Rh2 0.500 0.500 0.615